Diffraction record for Th2MnCrN5. The powder diffractogram is calculated, not measured: it uses DFT lattice parameters and positions (PBE) and Cu Kα (λ = 1.5418 Å).
No peak broadening, texture or thermal motion is included.

Peak list (10 most intense, 10° ≤ 2θ ≤ 80°, in order of rising 2θ)
2theta, I/Imax
18.67, 36
26.12, 70
26.93, 48
31.12, 100
32.30, 45
32.81, 56
32.98, 51
39.36, 69
46.71, 30
51.69, 30

Atomic structure:
Cell: 7.0340 7.0340 9.5058 Å, 90.00 90.00 151.93°
Fractional coordinates of all 18 atoms:
Th  0.1271  0.8729  0.5000
Th  0.1298  0.8702  0.8812
Th  0.8702  0.1298  0.3812
Th  0.8729  0.1271  0.0000
Mn  0.2022  0.7978  0.2016
Mn  0.7978  0.2022  0.7016
Cr  0.4277  0.5723  0.6630
Cr  0.5723  0.4277  0.1630
N  0.0506  0.9494  0.2391
N  0.3032  0.6968  0.8407
N  0.3046  0.6954  0.5683
N  0.3461  0.6539  0.1993
N  0.4894  0.5106  0.4924
N  0.5106  0.4894  0.9924
N  0.6539  0.3461  0.6993
N  0.6954  0.3046  0.0683
N  0.6968  0.3032  0.3407
N  0.9494  0.0506  0.7391

***

Diffraction record for NaMnCr. The powder diffractogram is calculated, not measured: it uses DFT lattice parameters and positions (PBE) and Cu Kα (λ = 1.5418 Å).
No peak broadening, texture or thermal motion is included.

Peak list (10 most intense, 10° ≤ 2θ ≤ 80°, in order of rising 2θ)
2theta, I/Imax
16.85, 23
34.08, 36
40.51, 69
42.97, 18
44.16, 100
44.81, 28
45.68, 16
49.23, 21
55.45, 10
57.47, 14

Atomic structure:
Cell: 2.8843 4.0449 10.6239 Å, 90.00 97.86 90.00°
Fractional coordinates of all 6 atoms:
Na  0.0000  0.0000  0.0000
Na  0.3629  0.5000  0.7081
Mn  0.1374  0.5000  0.2494
Mn  0.6445  0.0000  0.2653
Cr  0.2420  0.0000  0.4556
Cr  0.7349  0.5000  0.4431